Diffraction record for In5AgHg6. The powder XRD pattern is simulated, not measured: it uses DFT lattice parameters and positions (GGA-PBE) and Cu Kα (λ = 1.5418 Å).
No peak broadening, texture or thermal motion is included.

Crystal structure
```
data_In5AgHg6
_chemical_formula_sum 'In10 Ag2 Hg12'
_cell_length_a 10.005
_cell_length_b 14.062
_cell_length_c 4.872
_cell_angle_alpha 90.00
_cell_angle_beta 117.95
_cell_angle_gamma 90.00
_symmetry_space_group_name_H-M 'C 1 2/m 1'
_symmetry_Int_Tables_number 12
loop_
_symmetry_equiv_pos_as_xyz
'x,y,z'
'-x,-y,-z'
'-x,y,-z'
'x,-y,z'
'x+1/2,y+1/2,z'
'-x+1/2,-y+1/2,-z'
'-x+1/2,y+1/2,-z'
'x+1/2,-y+1/2,z'
loop_
_atom_site_label
_atom_site_type_symbol
_atom_site_fract_x
_atom_site_fract_y
_atom_site_fract_z
In1 In 0.000 0.000 0.000
In2 In 0.000 0.165 0.500
In3 In 0.000 0.334 0.000
Ag1 Ag 0.000 0.500 0.500
Hg1 Hg 0.238 0.500 0.240
Hg2 Hg 0.243 0.339 0.741
```

Peak list (10 most intense, 10° ≤ 2θ ≤ 90°, sorted by position)
2θ 33.2, rel. 100.0, (1 3 1); 2θ 33.6, rel. 96.3, (3 3 -1); 2θ 36.9, rel. 38.2, (2 0 -2); 2θ 38.4, rel. 33.4, (0 6 0); 2θ 40.8, rel. 27.8, (4 0 0); 2θ 54.3, rel. 24.4, (2 6 -2); 2θ 57.3, rel. 20.4, (4 6 0); 2θ 63.8, rel. 15.1, (1 3 -3); 2θ 64.7, rel. 14.5, (5 3 -3); 2θ 66.4, rel. 13.1, (3 9 -1)

=====

Diffraction record for Tb3PrSm2Tm6. The powder XRD pattern is simulated, not measured: it uses DFT lattice parameters and positions (GGA-PBE) and Cu Kα (λ = 1.5418 Å).
No peak broadening, texture or thermal motion is included.

Crystal structure
```
data_Tb3PrSm2Tm6
_chemical_formula_sum 'Tb6 Pr2 Sm4 Tm12'
_cell_length_a 6.157
_cell_length_b 10.657
_cell_length_c 11.679
_cell_angle_alpha 90.00
_cell_angle_beta 100.08
_cell_angle_gamma 90.00
_symmetry_space_group_name_H-M 'C 1 2/m 1'
_symmetry_Int_Tables_number 12
loop_
_symmetry_equiv_pos_as_xyz
'x,y,z'
'-x,-y,-z'
'-x,y,-z'
'x,-y,z'
'x+1/2,y+1/2,z'
'-x+1/2,-y+1/2,-z'
'-x+1/2,y+1/2,-z'
'x+1/2,-y+1/2,z'
loop_
_atom_site_label
_atom_site_type_symbol
_atom_site_fract_x
_atom_site_fract_y
_atom_site_fract_z
Tb1 Tb 0.000 0.000 0.000
Tb2 Tb 0.000 0.333 0.000
Pr1 Pr 0.000 0.500 0.500
Sm1 Sm 0.000 0.167 0.500
Tm1 Tm 0.249 0.167 0.247
Tm2 Tm 0.249 0.500 0.248
```

Peak list (10 most intense, 10° ≤ 2θ ≤ 90°, sorted by position)
2θ 30.8, rel. 100.0, (1 3 1); 2θ 31.1, rel. 32.5, (0 0 4); 2θ 35.8, rel. 67.1, (2 0 2); 2θ 51.4, rel. 24.1, (0 6 0); 2θ 51.8, rel. 23.6, (1 3 5); 2θ 61.2, rel. 14.3, (4 0 0); 2θ 61.3, rel. 28.4, (3 3 3); 2θ 61.6, rel. 13.9, (2 0 6); 2θ 64.3, rel. 12.3, (2 6 2); 2θ 83.9, rel. 11.9, (4 6 0)

=====

Diffraction record for Ho2SnSe. The powder XRD pattern is simulated, not measured: it uses DFT lattice parameters and positions (GGA-PBE) and Cu Kα (λ = 1.5418 Å).
No peak broadening, texture or thermal motion is included.

Crystal structure
```
data_Ho2SnSe
_chemical_formula_sum 'Ho8 Sn4 Se4'
_cell_length_a 5.998
_cell_length_b 5.998
_cell_length_c 11.957
_cell_angle_alpha 90.00
_cell_angle_beta 90.00
_cell_angle_gamma 90.00
_symmetry_space_group_name_H-M 'I 41/a m d'
_symmetry_Int_Tables_number 141
loop_
_symmetry_equiv_pos_as_xyz
'x,y,z'
'-x,-y,-z'
'-y+1/4,x+3/4,z+1/4'
'y+1/4,-x+3/4,-z+1/4'
'-x+1/2,-y,z+1/2'
'x+1/2,y,-z+1/2'
'y+1/4,-x+1/4,z+3/4'
'-y+1/4,x+1/4,-z+3/4'
'x,-y,-z'
'-x,y,z'
'-y+1/4,-x+1/4,-z+3/4'
'y+1/4,x+1/4,z+3/4'
'-x+1/2,y,-z+1/2'
'x+1/2,-y,z+1/2'
'y+1/4,x+3/4,-z+1/4'
'-y+1/4,-x+3/4,z+1/4'
'x+1/2,y+1/2,z+1/2'
'-x+1/2,-y+1/2,-z+1/2'
'-y+3/4,x+1/4,z+3/4'
'y+3/4,-x+1/4,-z+3/4'
'-x,-y+1/2,z'
'x,y+1/2,-z'
'y+3/4,-x+3/4,z+1/4'
'-y+3/4,x+3/4,-z+1/4'
'x+1/2,-y+1/2,-z+1/2'
'-x+1/2,y+1/2,z+1/2'
'-y+3/4,-x+3/4,-z+1/4'
'y+3/4,x+3/4,z+1/4'
'-x,y+1/2,-z'
'x,-y+1/2,z'
'y+3/4,x+1/4,-z+3/4'
'-y+3/4,-x+1/4,z+3/4'
loop_
_atom_site_label
_atom_site_type_symbol
_atom_site_fract_x
_atom_site_fract_y
_atom_site_fract_z
Ho1 Ho 0.000 0.250 0.120
Sn1 Sn 0.000 0.250 0.375
Se1 Se 0.000 0.250 0.875
```

Peak list (10 most intense, 10° ≤ 2θ ≤ 90°, sorted by position)
2θ 25.8, rel. 14.0, (1 1 2); 2θ 29.8, rel. 88.7, (2 0 0); 2θ 29.9, rel. 43.6, (0 0 4); 2θ 42.7, rel. 100.0, (2 2 0); 2θ 52.9, rel. 35.6, (2 2 4); 2θ 61.9, rel. 11.3, (4 0 0); 2θ 70.2, rel. 31.0, (4 2 0); 2θ 70.4, rel. 14.9, (2 0 8); 2θ 78.1, rel. 23.1, (4 2 4); 2θ 78.3, rel. 11.2, (2 2 8)